Diffraction record for Tl3TeSe2. The XRD peak list is simulated, not measured: it uses the GGA-PBE geometry in Alexandria and Cu Kα, 1.54184 Å.
No peak broadening, texture or thermal motion is included.

Crystal structure
Cell: 8.5166 8.5166 19.3617 Å, 90.00 90.00 120.00°
Space group R-3c (No. 167, hexagonal axes)
Symmetry-distinct sites (fractional):
Tl 0.0000 0.2961 0.2500 x18
Te 0.0000 0.0000 0.0000 x6
Se 0.0000 0.0000 0.1480 x12

Principal peaks in the range 2θ from 10° to 80°, low angle first:
- (1 1 3), 2θ 25.05, d = 3.554 Å, I 100
- (1 1 6), 2θ 34.88, d = 2.572 Å, I 49
- (3 0 0), 2θ 36.55, d = 2.459 Å, I 49
- (1 1 9), 2θ 47.34, d = 1.920 Å, I 19
- (2 2 6), 2θ 51.42, d = 1.777 Å, I 15
- (3 1 8), 2θ 59.15, d = 1.562 Å, I 15